Diffraction record for Mn2TcMo. The powder diffraction line list is computed, not measured: it uses a structure optimized by DFT (GGA-PBE) and Cu Ka.
Lines closer than 0.1° are merged.

Structure:
```
Mn2TcMo
1.0
-1.5329 2.1031 4.2196
1.5329 -2.1031 4.2196
1.5329 2.1031 -4.2196
Mn Tc Mo
2 1 1
Direct
0.0000 0.0000 0.0000
0.7519 0.2519 0.5000
0.5013 0.5013 0.0000
0.2501 0.7501 0.5000
```

The 10 most intense peaks (5 to 70 degrees two-theta), low angle first:
| Position (°2θ) | intensity |
| --- | --- |
| 23.63 | 9 |
| 31.04 | 5 |
| 38.50 | 3 |
| 42.30 | 100 |
| 42.86 | 24 |
| 43.01 | 24 |
| 43.67 | 2 |
| 53.98 | 2 |
| 60.39 | 8 |
| 62.34 | 15 |